Record 1
Theoretical powder XRD pattern
Compound: Cs3As2Pd3
Radiation: Cu Ka
Structure: a structure optimized by DFT (PBE)
Intensities are scaled so that the largest is 100.

The 10 most intense peaks (2θ = 10–80°), by angle:
| d/Å | intensity |
| --- | --- |
| 6.213 | 37 |
| 3.639 | 37 |
| 3.452 | 100 |
| 3.263 | 65 |
| 2.857 | 93 |
| 2.737 | 86 |
| 2.655 | 31 |
| 1.989 | 38 |
| 1.928 | 39 |
| 1.908 | 45 |

Structural model:
```
Cs3As2Pd3
1.0
1.928 -6.525 0.000
1.928 6.525 0.000
0.000 0.000 20.342
Cs As Pd
6 4 6
Direct
0.074 0.926 0.750
0.128 0.872 0.557
0.128 0.872 0.943
0.872 0.128 0.057
0.872 0.128 0.443
0.926 0.074 0.250
0.190 0.810 0.163
0.190 0.810 0.337
0.810 0.190 0.663
0.810 0.190 0.837
0.343 0.657 0.750
0.394 0.606 0.615
0.394 0.606 0.885
0.606 0.394 0.115
0.606 0.394 0.385
0.657 0.343 0.250
```

***

Record 2
Theoretical powder XRD pattern
Compound: Ho3ErSc8
Radiation: Cu Ka
Structure: a structure optimized by DFT (PBE)
Intensities are scaled so that the largest is 100.

The 10 most intense peaks (2θ = 10–80°), by angle:
| d/Å | intensity |
| --- | --- |
| 5.468 | 23 |
| 3.709 | 100 |
| 2.734 | 21 |
| 2.677 | 91 |
| 2.645 | 33 |
| 2.601 | 32 |
| 1.855 | 24 |
| 1.822 | 19 |
| 1.648 | 21 |
| 1.338 | 19 |

Structural model:
```
Ho3ErSc8
1.0
-2.957 5.289 5.468
2.957 -5.289 5.468
2.957 5.289 -5.468
Ho Er Sc
3 1 8
Direct
0.000 0.000 0.000
0.251 0.500 0.751
0.749 0.500 0.249
0.500 0.000 0.500
0.075 0.825 0.250
0.250 0.001 0.750
0.250 0.500 0.250
0.425 0.175 0.250
0.575 0.825 0.750
0.750 0.500 0.750
0.750 0.999 0.250
0.925 0.175 0.750
```

***

Record 3
Theoretical powder XRD pattern
Compound: Pr5Y2Er12
Radiation: Cu Ka
Structure: a structure optimized by DFT (PBE)
Intensities are scaled so that the largest is 100.

The 10 most intense peaks (2θ = 10–80°), by angle:
| d/Å | intensity |
| --- | --- |
| 3.257 | 18 |
| 3.236 | 19 |
| 3.193 | 33 |
| 2.968 | 61 |
| 2.852 | 100 |
| 2.790 | 29 |
| 2.720 | 61 |
| 2.271 | 15 |
| 1.761 | 17 |
| 1.499 | 16 |

Structural model:
```
Pr5Y2Er12
1.0
9.174 -3.522 0.000
9.174 3.522 0.000
-3.747 0.000 9.709
Pr Y Er
5 2 12
Direct
0.000 0.000 0.000
0.188 0.188 0.682
0.318 0.318 0.289
0.682 0.682 0.711
0.812 0.812 0.318
0.271 0.729 0.500
0.729 0.271 0.500
0.025 0.025 0.747
0.089 0.595 0.632
0.090 0.584 0.980
0.405 0.911 0.368
0.416 0.910 0.020
0.497 0.497 0.826
0.503 0.503 0.174
0.584 0.090 0.980
0.595 0.089 0.632
0.910 0.416 0.020
0.911 0.405 0.368
0.975 0.975 0.253
```

***

Record 4
Theoretical powder XRD pattern
Compound: Nd3AlAu3
Radiation: Cu Ka
Structure: a structure optimized by DFT (PBE)
Intensities are scaled so that the largest is 100.

The 10 most intense peaks (2θ = 10–80°), by angle:
| d/Å | intensity |
| --- | --- |
| 3.335 | 27 |
| 2.909 | 30 |
| 2.888 | 100 |
| 2.812 | 43 |
| 2.778 | 43 |
| 2.523 | 35 |
| 2.418 | 30 |
| 2.389 | 22 |
| 2.349 | 66 |
| 2.177 | 45 |

Structural model:
```
Nd3AlAu3
1.0
5.557 -2.177 0.000
5.557 2.177 0.000
-5.276 0.000 14.511
Nd Al Au
6 2 6
Direct
0.023 0.023 0.386
0.099 0.099 0.920
0.247 0.247 0.232
0.753 0.753 0.768
0.901 0.901 0.080
0.977 0.977 0.614
0.263 0.263 0.599
0.737 0.737 0.401
0.360 0.360 0.455
0.376 0.376 0.922
0.467 0.467 0.762
0.533 0.533 0.238
0.624 0.624 0.078
0.640 0.640 0.545
```

***

Record 5
Theoretical powder XRD pattern
Compound: LiMgB12
Radiation: Cu Ka
Structure: a structure optimized by DFT (PBE)
Intensities are scaled so that the largest is 100.

The 10 most intense peaks (2θ = 10–80°), by angle:
| d/Å | intensity |
| --- | --- |
| 8.243 | 51 |
| 4.122 | 75 |
| 3.687 | 27 |
| 2.915 | 100 |
| 2.748 | 15 |
| 2.380 | 72 |
| 2.061 | 42 |
| 1.843 | 31 |
| 1.374 | 71 |
| 1.304 | 41 |

Structural model:
```
LiMgB12
1.0
4.123 0.000 0.000
0.000 4.123 0.000
0.000 0.000 8.243
Li Mg B
1 1 12
Direct
0.000 0.000 0.000
0.000 0.000 0.500
0.199 0.500 0.252
0.199 0.500 0.748
0.500 0.199 0.252
0.500 0.199 0.748
0.500 0.500 0.100
0.500 0.500 0.401
0.500 0.500 0.599
0.500 0.500 0.900
0.500 0.801 0.252
0.500 0.801 0.748
0.801 0.500 0.252
0.801 0.500 0.748
```

***

Record 6
Theoretical powder XRD pattern
Compound: HoTeCl
Radiation: Cu Ka
Structure: a structure optimized by DFT (PBE)
Intensities are scaled so that the largest is 100.

The 10 most intense peaks (2θ = 10–80°), by angle:
| d/Å | intensity |
| --- | --- |
| 5.603 | 23 |
| 3.029 | 35 |
| 2.906 | 70 |
| 2.813 | 65 |
| 2.526 | 100 |
| 2.294 | 46 |
| 2.130 | 24 |
| 2.055 | 43 |
| 1.594 | 49 |
| 1.590 | 23 |

Structural model:
```
HoTeCl
1.0
-2.055 2.055 11.206
2.055 -2.055 11.206
2.055 2.055 -11.206
Ho Te Cl
2 2 2
Direct
0.152 0.152 0.000
0.848 0.848 0.000
0.298 0.298 0.000
0.702 0.702 0.000
0.571 0.071 0.500
0.929 0.429 0.500
```

***

Record 7
Theoretical powder XRD pattern
Compound: Ho3Si8Ir3
Radiation: Cu Ka
Structure: a structure optimized by DFT (PBE)
Intensities are scaled so that the largest is 100.

The 10 most intense peaks (2θ = 10–80°), by angle:
| d/Å | intensity |
| --- | --- |
| 4.241 | 27 |
| 3.644 | 23 |
| 3.298 | 28 |
| 3.045 | 100 |
| 2.891 | 62 |
| 2.564 | 60 |
| 2.509 | 56 |
| 2.344 | 30 |
| 2.097 | 42 |
| 1.623 | 35 |

Structural model:
```
Ho3Si8Ir3
1.0
7.736 -2.097 0.000
7.736 2.097 0.000
-4.352 0.000 7.288
Ho Si Ir
3 8 3
Direct
0.000 0.000 0.000
0.289 0.289 0.324
0.711 0.711 0.676
0.119 0.119 0.396
0.165 0.165 0.884
0.365 0.365 0.728
0.483 0.483 0.303
0.517 0.517 0.697
0.635 0.635 0.272
0.835 0.835 0.116
0.881 0.881 0.604
0.000 0.000 0.500
0.346 0.346 0.987
0.654 0.654 0.013
```

***

Record 8
Theoretical powder XRD pattern
Compound: KVCd2Br8
Radiation: Cu Ka
Structure: a structure optimized by DFT (PBE)
Intensities are scaled so that the largest is 100.

The 10 most intense peaks (2θ = 10–80°), by angle:
| d/Å | intensity |
| --- | --- |
| 5.352 | 75 |
| 3.731 | 39 |
| 3.331 | 59 |
| 3.157 | 100 |
| 3.027 | 70 |
| 2.996 | 55 |
| 2.704 | 33 |
| 2.000 | 53 |
| 1.919 | 50 |
| 1.879 | 54 |

Structural model:
```
KVCd2Br8
1.0
5.555 -3.840 0.000
5.555 3.840 0.000
-0.543 0.000 9.581
K V Cd Br
1 1 2 8
Direct
0.000 0.000 0.000
0.000 0.000 0.500
0.361 0.361 0.708
0.639 0.639 0.292
0.209 0.743 0.308
0.226 0.226 0.472
0.257 0.791 0.692
0.302 0.302 0.960
0.698 0.698 0.040
0.743 0.209 0.308
0.774 0.774 0.528
0.791 0.257 0.692
```